The following is a computed X-ray diffraction stick pattern of La2Pd2O5. It was derived from the GGA-PBE geometry in Alexandria, using Cu Kα X-rays.
Peak positions follow from Bragg's law for the DFT cell and can differ from measured ones.

Structure:
Cell lengths 6.751, 6.751, 5.671 Å; angles 90.00, 90.00, 90.00 degrees
Space group P4_2/m (No. 84)
One atom of each set of equivalent atoms:
La (0.108, 0.262, 0.000)
Pd (0.309, 0.406, 0.500)
O (0.000, 0.000, 0.250)
O (0.200, 0.596, 0.242)

Principal peaks in the range 2θ from 10° to 80°, in order of rising 2θ:
two_theta	I_rel
29.59	26
30.83	76
31.55	37
33.63	100
43.80	47
48.63	16
56.93	19
57.53	21
59.13	17
65.88	17